Record 1
This entry pairs a crystal structure of Rb8Bi3O8 with its computed X-ray powder pattern. Radiation: Cu Kα (λ = 1.5418 Å). Structure: the GGA-PBE geometry in Alexandria.
No peak broadening, texture or thermal motion is included.

Atomic structure:
```
Rb8Bi3O8
1.0
6.0502 0.0000 0.0000
0.0753 8.7995 0.0000
2.9003 2.9675 10.0574
Rb Bi O
8 3 8
Direct
0.0307 0.2225 0.4334
0.1509 0.7171 0.1740
0.3340 0.5714 0.8584
0.4098 0.0056 0.6852
0.5902 0.9944 0.3148
0.6660 0.4286 0.1416
0.8491 0.2829 0.8260
0.9693 0.7775 0.5666
0.2114 0.1698 0.0995
0.5000 0.5000 0.5000
0.7886 0.8302 0.9005
0.1053 0.9951 0.2857
0.1509 0.3818 0.1560
0.4329 0.8230 0.9324
0.4770 0.7230 0.5526
0.5230 0.2770 0.4474
0.5671 0.1770 0.0676
0.8491 0.6182 0.8440
0.8947 0.0049 0.7143
```

Top 12 peaks for 2θ from 15° to 90°, low angle first:
d/Å  I_rel
5.717  325
4.984  496
4.458  308
3.415  690
3.386  553
3.308  810
3.264  801
3.025  1000
2.988  301
2.851  595
2.818  537
2.058  366

Record 2
This entry pairs a crystal structure of RbBi3O8 with its computed X-ray powder pattern. Radiation: Cu Kα (λ = 1.5418 Å). Structure: the GGA-PBE geometry in Alexandria.
No peak broadening, texture or thermal motion is included.

Atomic structure:
```
RbBi3O8
1.0
5.9430 0.0000 0.0000
-2.9715 5.1468 0.0000
0.0000 0.0000 7.8340
Rb Bi O
1 3 8
Direct
0.0000 0.0000 0.0000
0.0000 0.0000 0.5000
0.3333 0.6667 0.5737
0.6667 0.3333 0.4263
0.0723 0.3612 0.3801
0.2888 0.9277 0.3801
0.3333 0.6667 0.8292
0.3612 0.2888 0.6199
0.6388 0.7112 0.3801
0.6667 0.3333 0.1708
0.7112 0.0723 0.6199
0.9277 0.6388 0.6199
```

Top 12 peaks for 2θ from 15° to 90°, low angle first:
d/Å  I_rel
4.302  335
3.917  383
3.117  413
2.972  1000
2.778  680
2.367  618
2.329  248
1.831  429
1.716  261
1.676  211
1.559  335
1.380  214

Record 3
This entry pairs a crystal structure of Re2Bi2O7 with its computed X-ray powder pattern. Radiation: Cu Kα (λ = 1.5418 Å). Structure: the GGA-PBE geometry in Alexandria.
No peak broadening, texture or thermal motion is included.

Atomic structure:
```
Re2Bi2O7
1.0
3.1164 -4.5163 0.0000
3.1164 4.5163 0.0000
-1.7600 0.0000 7.9015
Re Bi O
2 2 7
Direct
0.1965 0.1965 0.4110
0.8035 0.8035 0.5890
0.1792 0.8208 0.0000
0.8208 0.1792 0.0000
0.0175 0.3556 0.2943
0.1357 0.1357 0.6305
0.3556 0.0175 0.2943
0.5000 0.5000 0.5000
0.6444 0.9825 0.7057
0.8643 0.8643 0.3695
0.9825 0.6444 0.7057
```

Top 12 peaks for 2θ from 15° to 90°, low angle first:
d/Å  I_rel
5.046  502
4.650  294
3.950  428
3.921  1000
3.071  477
2.870  316
2.633  281
2.526  492
2.482  307
2.336  258
2.325  213
1.673  183

Record 4
This entry pairs a crystal structure of ReBi2O8 with its computed X-ray powder pattern. Radiation: Cu Kα (λ = 1.5418 Å). Structure: the GGA-PBE geometry in Alexandria.
No peak broadening, texture or thermal motion is included.

Atomic structure:
```
ReBi2O8
1.0
3.5850 -5.3837 0.0000
3.5850 5.3837 0.0000
-0.0449 0.0000 4.0910
Re Bi O
1 2 8
Direct
0.0000 0.0000 0.0000
0.3119 0.6776 0.8936
0.6776 0.3119 0.8936
0.0018 0.0018 0.4224
0.0527 0.3057 0.9212
0.2959 0.7502 0.3959
0.3057 0.0527 0.9212
0.5017 0.5017 0.7252
0.6986 0.9503 0.9170
0.7502 0.2959 0.3959
0.9503 0.6986 0.9170
```

Top 12 peaks for 2θ from 15° to 90°, low angle first:
d/Å  I_rel
4.091  985
3.585  788
3.209  1000
2.711  239
2.682  220
2.531  409
2.519  393
2.046  153
1.989  329
1.794  405
1.783  251
1.729  131

Record 5
This entry pairs a crystal structure of TlRe2BiO8 with its computed X-ray powder pattern. Radiation: Cu Kα (λ = 1.5418 Å). Structure: the GGA-PBE geometry in Alexandria.
No peak broadening, texture or thermal motion is included.

Atomic structure:
```
TlRe2BiO8
1.0
6.0510 -3.5806 0.0000
6.0510 3.5806 0.0000
-1.2871 0.0000 5.6890
Tl Re Bi O
1 2 1 8
Direct
0.0000 0.0000 0.0000
0.3136 0.3136 0.8485
0.6864 0.6864 0.1515
0.5000 0.5000 0.5000
0.1683 0.1683 0.7267
0.2135 0.5677 0.7169
0.3493 0.3493 0.1623
0.4323 0.7865 0.2831
0.5677 0.2135 0.7169
0.6507 0.6507 0.8377
0.7865 0.4323 0.2831
0.8317 0.8317 0.2733
```

Top 12 peaks for 2θ from 15° to 90°, low angle first:
d/Å  I_rel
3.948  1000
3.707  169
3.581  667
3.448  231
3.240  828
2.817  275
2.725  290
2.214  335
2.131  153
1.995  271
1.854  190
1.287  157

Record 6
This entry pairs a crystal structure of TlReBi2O8 with its computed X-ray powder pattern. Radiation: Cu Kα (λ = 1.5418 Å). Structure: the GGA-PBE geometry in Alexandria.
No peak broadening, texture or thermal motion is included.

Atomic structure:
```
TlReBi2O8
1.0
3.4641 -3.6302 0.0000
3.4641 3.6302 0.0000
-0.0775 0.0000 7.2677
Tl Re Bi O
1 1 2 8
Direct
0.0000 0.0000 0.0000
0.0000 0.0000 0.5000
0.4934 0.4934 0.7409
0.5066 0.5066 0.2591
0.1649 0.8071 0.3101
0.1929 0.8351 0.6899
0.2777 0.2777 0.4851
0.2944 0.2944 0.0123
0.7056 0.7056 0.9877
0.7223 0.7223 0.5149
0.8071 0.1649 0.3101
0.8351 0.1929 0.6899
```

Top 12 peaks for 2θ from 15° to 90°, low angle first:
d/Å  I_rel
3.630  993
3.464  838
2.953  1000
2.931  968
2.506  541
1.937  358
1.931  359
1.891  334
1.874  306
1.816  310
1.625  218
1.522  182